For Li4Zn5Cu2, DFT lattice parameters and positions (GGA-PBE) gives the simulated X-ray diffraction stick pattern in this record (Cu Kα).
Neutral-atom scattering factors, no anomalous dispersion.

Largest 10 diffraction maxima, in order of falling intensity, 10° ≤ 2θ ≤ 80°:
two_theta  intensity
42.7  100
43.0  88
23.7  86
43.4  86
27.4  71
42.5  67
20.8  53
12.2  53
47.8  40
41.8  36

Atomic structure:
```
11
Lattice="4.324 -2.589 0.000 4.324 2.589 0.000 -4.160 0.000 7.238" Properties=species:S:1:pos:R:3 pbc="T T T"
Li 1.037 0.000 0.910
Li -0.706 0.000 4.058
Li 5.193 0.000 3.180
Li 3.450 0.000 6.328
Zn 3.184 1.320 1.604
Zn 1.304 1.320 5.635
Zn 2.244 0.000 3.619
Zn 3.184 -1.320 1.604
Zn 1.304 -1.320 5.635
Cu -0.917 0.000 6.626
Cu 5.404 0.000 0.612
```

=====

For TmTaTe, DFT lattice parameters and positions (GGA-PBE) gives the simulated X-ray diffraction stick pattern in this record (Cu Kα).
Neutral-atom scattering factors, no anomalous dispersion.

Largest 10 diffraction maxima, in order of falling intensity, 10° ≤ 2θ ≤ 80°:
two_theta  intensity
35.3  100
32.6  97
59.9  53
46.8  36
42.8  23
79.3  18
77.7  16
42.5  16
26.5  14
65.2  13

Atomic structure:
```
6
Lattice="3.885 0.000 0.000 0.000 3.885 0.000 0.000 0.000 10.078" Properties=species:S:1:pos:R:3 pbc="T T T"
Tm 0.971 0.971 2.476
Tm 2.914 2.914 7.602
Ta 0.971 0.971 9.552
Ta 2.914 2.914 0.526
Te 0.971 0.971 6.445
Te 2.914 2.914 3.633
```

=====

For Nd7ZnSe5, DFT lattice parameters and positions (GGA-PBE) gives the simulated X-ray diffraction stick pattern in this record (Cu Kα).
Neutral-atom scattering factors, no anomalous dispersion.

Largest 10 diffraction maxima, in order of falling intensity, 10° ≤ 2θ ≤ 80°:
two_theta  intensity
29.7  100
27.9  83
30.7  75
43.0  61
31.1  40
43.3  39
42.3  37
29.0  30
52.3  30
39.2  29

Atomic structure:
```
26
Lattice="6.931 -2.089 0.000 6.931 2.089 0.000 -0.012 0.000 25.284" Properties=species:S:1:pos:R:3 pbc="T T T"
Nd 0.456 0.000 6.324
Nd 1.907 0.000 13.571
Nd 1.900 0.000 24.354
Nd 4.269 0.000 8.129
Nd 4.276 0.000 4.512
Nd 5.746 0.000 15.402
Nd 5.738 0.000 22.521
Nd 8.111 0.000 2.763
Nd 8.103 0.000 9.881
Nd 9.573 0.000 20.772
Nd 9.581 0.000 17.155
Nd 11.949 0.000 0.930
Nd 11.942 0.000 11.713
Nd 13.393 0.000 18.960
Zn 4.198 0.000 18.968
Zn 9.651 0.000 6.316
Se 0.726 0.000 16.273
Se 0.720 0.000 21.652
Se 3.097 0.000 1.816
Se 3.092 0.000 10.824
Se 6.931 0.000 0.000
Se 6.925 0.000 12.642
Se 10.757 0.000 14.459
Se 10.752 0.000 23.467
Se 13.129 0.000 3.631
Se 13.123 0.000 9.010
```

=====

For CaSmHg6, DFT lattice parameters and positions (GGA-PBE) gives the simulated X-ray diffraction stick pattern in this record (Cu Kα).
Neutral-atom scattering factors, no anomalous dispersion.

Largest 10 diffraction maxima, in order of falling intensity, 10° ≤ 2θ ≤ 80°:
two_theta  intensity
35.4  100
35.7  48
66.8  37
34.9  35
30.7  24
62.9  19
55.0  19
47.1  15
31.0  13
66.3  11

Atomic structure:
```
8
Lattice="5.149 0.000 0.000 0.000 3.368 5.771 0.000 -3.368 5.771" Properties=species:S:1:pos:R:3 pbc="T T T"
Ca 0.000 0.000 0.000
Sm 2.574 0.000 7.784
Hg 0.000 -1.647 2.923
Hg 0.000 1.647 2.923
Hg 0.000 0.000 5.820
Hg 2.574 0.000 1.983
Hg 2.574 -1.628 4.846
Hg 2.574 1.628 4.846
```

=====

For AcPm3Tm7, DFT lattice parameters and positions (GGA-PBE) gives the simulated X-ray diffraction stick pattern in this record (Cu Kα).
Neutral-atom scattering factors, no anomalous dispersion.

Largest 10 diffraction maxima, in order of falling intensity, 10° ≤ 2θ ≤ 80°:
two_theta  intensity
31.0  100
35.8  69
30.7  33
61.4  28
51.5  24
51.7  24
61.1  15
61.5  14
64.5  13
10.1  10

Atomic structure:
```
11
Lattice="7.067 0.000 0.000 -3.533 6.120 0.000 0.000 0.000 8.724" Properties=species:S:1:pos:R:3 pbc="T T T"
Ac 0.000 0.000 0.000
Pm 0.000 2.055 2.987
Pm -1.753 5.092 2.987
Pm 1.753 5.092 2.987
Tm -1.756 3.066 8.704
Tm 0.000 4.080 5.899
Tm 1.777 1.026 5.860
Tm 1.756 3.066 8.704
Tm 0.000 6.108 8.704
Tm 5.290 1.026 5.860
Tm 3.533 4.068 5.860
```

=====

For PmPuGe2Pd2, DFT lattice parameters and positions (GGA-PBE) gives the simulated X-ray diffraction stick pattern in this record (Cu Kα).
Neutral-atom scattering factors, no anomalous dispersion.

Largest 10 diffraction maxima, in order of falling intensity, 10° ≤ 2θ ≤ 80°:
two_theta  intensity
33.5  100
40.8  51
53.8  26
65.5  25
69.7  24
23.2  15
48.9  10
74.3  9
11.9  6
26.2  6

Atomic structure:
```
6
Lattice="4.421 0.000 0.000 -2.211 3.829 0.000 0.000 0.000 7.457" Properties=species:S:1:pos:R:3 pbc="T T T"
Pm 0.000 0.000 0.000
Pu 0.000 0.000 3.728
Ge 0.000 2.553 5.503
Ge 2.211 1.276 1.954
Pd 0.000 2.553 1.884
Pd 2.211 1.276 5.572
```

=====

For Ca2PuZn2Pd5, DFT lattice parameters and positions (GGA-PBE) gives the simulated X-ray diffraction stick pattern in this record (Cu Kα).
Neutral-atom scattering factors, no anomalous dispersion.

Largest 10 diffraction maxima, in order of falling intensity, 10° ≤ 2θ ≤ 80°:
two_theta  intensity
36.7  100
34.4  30
40.1  29
17.8  28
40.5  26
37.3  20
46.7  20
20.0  18
71.3  17
12.6  14

Atomic structure:
```
20
Lattice="9.951 0.000 0.000 0.000 9.951 0.000 0.000 0.000 3.887" Properties=species:S:1:pos:R:3 pbc="T T T"
Ca 1.738 3.238 0.000
Ca 3.238 8.213 0.000
Ca 6.713 1.738 0.000
Ca 8.213 6.713 0.000
Pu 0.000 0.000 0.000
Pu 4.976 4.976 0.000
Zn 1.193 6.168 0.000
Zn 3.783 1.193 0.000
Zn 6.168 8.758 0.000
Zn 8.758 3.783 0.000
Pd 0.000 4.976 1.943
Pd 0.696 7.845 1.943
Pd 2.107 0.696 1.943
Pd 2.869 5.672 1.943
Pd 4.279 2.869 1.943
Pd 4.976 0.000 1.943
Pd 5.672 7.082 1.943
Pd 7.082 4.279 1.943
Pd 7.845 9.255 1.943
Pd 9.255 2.107 1.943
```

=====

For Ba2NaPb16, DFT lattice parameters and positions (GGA-PBE) gives the simulated X-ray diffraction stick pattern in this record (Cu Kα).
Neutral-atom scattering factors, no anomalous dispersion.

Largest 10 diffraction maxima, in order of falling intensity, 10° ≤ 2θ ≤ 80°:
two_theta  intensity
31.2  100
35.0  66
31.0  28
15.5  25
31.5  17
34.8  17
55.6  17
55.3  15
27.4  15
65.1  13

Atomic structure:
```
19
Lattice="5.723 3.304 5.770 -5.723 3.304 5.770 0.000 -6.609 5.770" Properties=species:S:1:pos:R:3 pbc="T T T"
Ba 0.000 0.000 0.000
Ba 0.000 0.000 5.527
Na 0.000 0.000 13.032
Pb 0.000 -3.268 3.040
Pb -2.831 1.634 3.040
Pb -2.851 -1.646 8.469
Pb 0.000 -3.371 8.221
Pb -2.919 1.685 8.221
Pb -1.703 -2.938 11.350
Pb -3.396 -0.006 11.350
Pb 2.831 1.634 3.040
Pb 0.000 0.000 9.649
Pb 2.851 -1.646 8.469
Pb 0.000 3.292 8.469
Pb 1.703 -2.938 11.350
Pb -1.693 2.944 11.350
Pb 2.919 1.685 8.221
Pb 3.396 -0.006 11.350
Pb 1.693 2.944 11.350
```